(1)
The following is a computed X-ray powder pattern of IrPt2. It was derived from DFT lattice parameters and positions (GGA-PBE), using Cu Kα, 1.54184 Å.

Main lines, by angle (10 to 90 degrees two-theta):
2theta  I (rel.)
39.6  100
46.0  33
46.3  16
67.0  11
67.3  21
80.7  26
81.2  13
85.3  11

Cell and atoms:
Unit cell a=2.7931 b=2.7931 c=11.7714 alpha=90.00 beta=90.00 gamma=90.00
Space group I4/mmm (No. 139)
Unique sites:
Ir (0.0000, 0.0000, 0.0000) [2 per cell]
Pt (0.0000, 0.0000, 0.3369) [4 per cell]

(2)
The following is a computed X-ray powder pattern of IrPt2. It was derived from DFT lattice parameters and positions (GGA-PBE), using Cu Kα, 1.54184 Å.

Main lines, by angle (10 to 90 degrees two-theta):
2theta  I (rel.)
37.6  23
38.6  29
42.5  100
55.0  16
67.9  17
72.6  21
80.3  3
80.9  21
82.8  3
83.5  15

Cell and atoms:
Unit cell a=2.7597 b=14.3523 c=4.6613 alpha=90.00 beta=90.00 gamma=90.00
Space group Cmcm (No. 63)
Unique sites:
Ir (0.0000, 0.1093, 0.2500) [4 per cell]
Pt (0.0000, 0.2242, 0.7500) [4 per cell]
Pt (0.0000, 0.4426, 0.2500) [4 per cell]

(3)
The following is a computed X-ray powder pattern of IrPt. It was derived from DFT lattice parameters and positions (GGA-PBE), using Cu Kα, 1.54184 Å.

Main lines, by angle (10 to 90 degrees two-theta):
2theta  I (rel.)
37.3  35
37.9  35
42.8  100
54.3  24
69.6  6
71.1  21
71.9  22
81.0  4
81.7  8
82.1  8

Cell and atoms:
Unit cell a=2.7029 b=4.7461 c=9.6348 alpha=90.00 beta=90.00 gamma=90.00
Space group Imma (No. 74)
Unique sites:
Ir (0.0000, 0.2500, 0.1338) [4 per cell]
Pt (0.0000, 0.2500, 0.6176) [4 per cell]

(4)
The following is a computed X-ray powder pattern of IrPt7. It was derived from DFT lattice parameters and positions (GGA-PBE), using Cu Kα, 1.54184 Å.

Main lines, by angle (10 to 90 degrees two-theta):
2theta  I (rel.)
39.4  100
45.8  49
66.8  32
80.4  39
84.8  12

Cell and atoms:
Unit cell a=7.9227 b=7.9227 c=7.9227 alpha=90.00 beta=90.00 gamma=90.00
Space group Fm-3m (No. 225)
Unique sites:
Ir (0.0000, 0.0000, 0.0000) [4 per cell]
Pt (0.0000, 0.0000, 0.5000) [4 per cell]
Pt (0.0000, 0.2500, 0.2500) [24 per cell]

(5)
The following is a computed X-ray powder pattern of IrPt3. It was derived from DFT lattice parameters and positions (GGA-PBE), using Cu Kα, 1.54184 Å.

Main lines, by angle (10 to 90 degrees two-theta):
2theta  I (rel.)
39.5  100
43.2  1
45.3  16
46.3  33
66.8  21
67.6  11
73.5  1
79.8  12
81.2  26
85.1  11

Cell and atoms:
Unit cell a=2.7730 b=2.7730 c=16.0067 alpha=90.00 beta=90.00 gamma=90.00
Space group P4/nmm (No. 129, origin choice 2)
Unique sites:
Ir (0.2500, 0.2500, 0.0572) [2 per cell]
Pt (0.2500, 0.2500, 0.3095) [2 per cell]
Pt (0.2500, 0.2500, 0.5631) [2 per cell]
Pt (0.2500, 0.2500, 0.8192) [2 per cell]

(6)
The following is a computed X-ray powder pattern of IrPt2. It was derived from DFT lattice parameters and positions (GGA-PBE), using Cu Kα, 1.54184 Å.

Main lines, by angle (10 to 90 degrees two-theta):
2theta  I (rel.)
39.5  100
39.7  99
45.9  66
46.4  32
67.3  43
80.6  26
80.9  26
81.3  13
81.4  13
85.2  12

Cell and atoms:
Unit cell a=2.8020 b=3.9162 c=8.3550 alpha=90.00 beta=90.00 gamma=90.00
Space group Immm (No. 71)
Unique sites:
Ir (0.0000, 0.0000, 0.0000) [2 per cell]
Pt (0.0000, 0.0000, 0.3352) [4 per cell]

(7)
The following is a computed X-ray powder pattern of Ir3Pt2. It was derived from DFT lattice parameters and positions (GGA-PBE), using Cu Kα, 1.54184 Å.

Main lines, by angle (10 to 90 degrees two-theta):
2theta  I (rel.)
34.6  100
49.7  73
62.0  25
73.0  12
83.3  33

Cell and atoms:
Unit cell a=3.6657 b=3.6657 c=22.4687 alpha=90.00 beta=90.00 gamma=120.00
Space group R-3m (No. 166, hexagonal axes)
Unique sites:
Ir (0.0000, 0.0000, 0.0000) [3 per cell]
Ir (0.0000, 0.0000, 0.1970) [6 per cell]
Pt (0.0000, 0.0000, 0.4003) [6 per cell]

(8)
The following is a computed X-ray powder pattern of Pu12Ir5Pt2. It was derived from DFT lattice parameters and positions (GGA-PBE), using Cu Kα, 1.54184 Å.

Main lines, by angle (10 to 90 degrees two-theta):
2theta  I (rel.)
31.7  32
33.5  100
35.5  33
37.4  35
38.2  49
39.0  68
39.2  36
39.7  56
49.9  30
62.2  30

Cell and atoms:
Unit cell a=14.6518 b=5.9692 c=11.5295 alpha=90.00 beta=124.63 gamma=90.00
Space group C2/m (No. 12)
Unique sites:
Pu (0.0043, 0.0000, 0.3914) [4 per cell]
Pu (0.0132, 0.5000, 0.2302) [4 per cell]
Pu (0.1798, 0.2406, 0.5487) [8 per cell]
Pu (0.2394, 0.2496, 0.1405) [8 per cell]
Ir (0.0000, 0.5000, 0.5000) [2 per cell]
Ir (0.0967, 0.0000, 0.8814) [4 per cell]
Ir (0.1323, 0.0000, 0.2706) [4 per cell]
Pt (0.0000, 0.2453, 0.0000) [4 per cell]

Copy entry 5 word for word.
The following is a computed X-ray powder pattern of IrPt3. It was derived from DFT lattice parameters and positions (GGA-PBE), using Cu Kα, 1.54184 Å.

Main lines, by angle (10 to 90 degrees two-theta):
2theta  I (rel.)
39.5  100
43.2  1
45.3  16
46.3  33
66.8  21
67.6  11
73.5  1
79.8  12
81.2  26
85.1  11

Cell and atoms:
Unit cell a=2.7730 b=2.7730 c=16.0067 alpha=90.00 beta=90.00 gamma=90.00
Space group P4/nmm (No. 129, origin choice 2)
Unique sites:
Ir (0.2500, 0.2500, 0.0572) [2 per cell]
Pt (0.2500, 0.2500, 0.3095) [2 per cell]
Pt (0.2500, 0.2500, 0.5631) [2 per cell]
Pt (0.2500, 0.2500, 0.8192) [2 per cell]